Entry 1:
This entry pairs a crystal structure of Nd3SmSn3 with its computed PXRD pattern. Radiation: CuKα. Structure: the PBE geometry in Alexandria.
Kinematic intensities with the Lorentz-polarization factor, no thermal factor.

Cell and atoms:
a = 9.631 Å, b = 9.631 Å, c = 6.260 Å
α = 90.00°, β = 90.00°, γ = 120.00°
Sites, in units of the cell vectors:
Nd 0.018 0.696 0.250
Nd 0.304 0.322 0.250
Nd 0.322 0.018 0.750
Nd 0.678 0.982 0.250
Nd 0.696 0.678 0.750
Nd 0.982 0.304 0.750
Sm 0.333 0.667 0.750
Sm 0.667 0.333 0.250
Sn 0.003 0.352 0.250
Sn 0.349 0.997 0.250
Sn 0.352 0.349 0.750
Sn 0.648 0.651 0.250
Sn 0.651 0.003 0.750
Sn 0.997 0.648 0.750

Largest 10 diffraction maxima, by angle, 10° ≤ 2θ ≤ 80°:
2θ/deg  I (rel.)
18.42  28.2
25.67  15.9
28.52  50.4
31.78  18.8
32.20  100.0
43.54  87.7
57.41  15.9
65.34  21.7
68.85  22.9
74.72  13.4

Entry 2:
This entry pairs a crystal structure of NdSm4Sn with its computed PXRD pattern. Radiation: CuKα. Structure: the PBE geometry in Alexandria.
Kinematic intensities with the Lorentz-polarization factor, no thermal factor.

Cell and atoms:
a = 13.014 Å, b = 13.014 Å, c = 6.418 Å
α = 90.00°, β = 90.00°, γ = 156.88°
Sites, in units of the cell vectors:
Nd 0.035 0.965 0.500
Nd 0.965 0.035 0.000
Sm 0.097 0.903 0.034
Sm 0.182 0.818 0.436
Sm 0.226 0.774 0.928
Sm 0.371 0.629 0.163
Sm 0.629 0.371 0.663
Sm 0.774 0.226 0.428
Sm 0.818 0.182 0.936
Sm 0.903 0.097 0.534
Sn 0.332 0.668 0.652
Sn 0.668 0.332 0.152

Largest 10 diffraction maxima, by angle, 10° ≤ 2θ ≤ 80°:
2θ/deg  I (rel.)
17.35  24.0
24.37  24.5
29.92  28.5
31.20  19.6
31.33  28.9
32.96  48.0
33.08  100.0
34.42  86.0
47.16  35.6
60.73  25.9

Entry 3:
This entry pairs a crystal structure of NdSm2Sn3 with its computed PXRD pattern. Radiation: CuKα. Structure: the PBE geometry in Alexandria.
Kinematic intensities with the Lorentz-polarization factor, no thermal factor.

Cell and atoms:
a = 4.513 Å, b = 6.352 Å, c = 13.429 Å
α = 90.00°, β = 90.00°, γ = 90.00°
Sites, in units of the cell vectors:
Nd 0.000 0.000 0.000
Nd 0.500 0.500 0.500
Sm 0.000 0.000 0.334
Sm 0.000 0.000 0.666
Sm 0.500 0.500 0.166
Sm 0.500 0.500 0.834
Sn 0.000 0.500 0.000
Sn 0.000 0.500 0.331
Sn 0.000 0.500 0.669
Sn 0.500 0.000 0.169
Sn 0.500 0.000 0.500
Sn 0.500 0.000 0.831

Largest 10 diffraction maxima, by angle, 10° ≤ 2θ ≤ 80°:
2θ/deg  I (rel.)
28.08  100.0
39.96  13.1
40.14  51.7
40.30  12.8
49.55  14.2
49.84  13.9
58.06  13.3
65.72  24.6
72.69  9.3
73.12  13.6

Entry 4:
This entry pairs a crystal structure of Nd4Sm5Sn2 with its computed PXRD pattern. Radiation: CuKα. Structure: the PBE geometry in Alexandria.
Kinematic intensities with the Lorentz-polarization factor, no thermal factor.

Cell and atoms:
a = 16.099 Å, b = 16.099 Å, c = 16.099 Å
α = 19.03°, β = 19.03°, γ = 19.03°
Sites, in units of the cell vectors:
Nd 0.072 0.072 0.072
Nd 0.226 0.226 0.226
Nd 0.774 0.774 0.774
Nd 0.928 0.928 0.928
Sm 0.000 0.000 0.000
Sm 0.148 0.148 0.148
Sm 0.304 0.304 0.304
Sm 0.696 0.696 0.696
Sm 0.852 0.852 0.852
Sn 0.378 0.378 0.378
Sn 0.622 0.622 0.622

Largest 10 diffraction maxima, by angle, 10° ≤ 2θ ≤ 80°:
2θ/deg  I (rel.)
19.34  20.4
31.27  100.0
32.82  26.4
33.67  97.5
46.61  33.3
54.09  12.4
58.72  33.5
60.22  18.5
63.47  17.3
79.42  14.1

Entry 5:
This entry pairs a crystal structure of Nd8Sm5Sn with its computed PXRD pattern. Radiation: CuKα. Structure: the PBE geometry in Alexandria.
Kinematic intensities with the Lorentz-polarization factor, no thermal factor.

Cell and atoms:
a = 8.671 Å, b = 8.671 Å, c = 10.461 Å
α = 127.03°, β = 127.03°, γ = 62.86°
Sites, in units of the cell vectors:
Nd 0.017 0.017 0.178
Nd 0.204 0.473 0.856
Nd 0.476 0.021 0.908
Nd 0.478 0.201 0.589
Nd 0.527 0.796 0.144
Nd 0.799 0.522 0.411
Nd 0.979 0.524 0.092
Nd 0.983 0.983 0.822
Sm 0.224 0.638 0.578
Sm 0.362 0.776 0.422
Sm 0.426 0.280 0.283
Sm 0.720 0.574 0.717
Sm 0.933 0.067 0.500
Sn 0.682 0.318 0.000

Largest 10 diffraction maxima, by angle, 10° ≤ 2θ ≤ 80°:
2θ/deg  I (rel.)
26.04  27.6
26.92  32.9
27.39  100.0
30.87  75.9
31.22  28.0
32.38  88.0
33.54  88.1
35.41  21.4
36.75  35.3
53.26  19.4

Entry 6:
This entry pairs a crystal structure of Nd4SmSn2 with its computed PXRD pattern. Radiation: CuKα. Structure: the PBE geometry in Alexandria.
Kinematic intensities with the Lorentz-polarization factor, no thermal factor.

Cell and atoms:
a = 10.857 Å, b = 10.857 Å, c = 10.857 Å
α = 28.13°, β = 28.13°, γ = 28.13°
Sites, in units of the cell vectors:
Nd 0.111 0.111 0.111
Nd 0.295 0.295 0.295
Nd 0.705 0.705 0.705
Nd 0.889 0.889 0.889
Sm 0.500 0.500 0.500
Sn 0.399 0.399 0.399
Sn 0.601 0.601 0.601

Largest 10 diffraction maxima, by angle, 10° ≤ 2θ ≤ 80°:
2θ/deg  I (rel.)
19.63  17.2
22.54  11.4
24.12  55.3
33.98  100.0
34.77  78.5
42.10  12.5
49.40  29.3
60.81  18.9
61.32  30.8
71.52  11.7

Entry 7:
This entry pairs a crystal structure of NdSmSn6 with its computed PXRD pattern. Radiation: CuKα. Structure: the PBE geometry in Alexandria.
Kinematic intensities with the Lorentz-polarization factor, no thermal factor.

Cell and atoms:
a = 4.755 Å, b = 4.755 Å, c = 9.567 Å
α = 90.00°, β = 90.00°, γ = 90.00°
Sites, in units of the cell vectors:
Nd 0.000 0.000 0.000
Sm 0.000 0.000 0.500
Sn 0.000 0.500 0.252
Sn 0.000 0.500 0.748
Sn 0.500 0.000 0.252
Sn 0.500 0.000 0.748
Sn 0.500 0.500 0.000
Sn 0.500 0.500 0.500

Largest 10 diffraction maxima, by angle, 10° ≤ 2θ ≤ 80°:
2θ/deg  I (rel.)
18.66  0.5
26.46  0.7
32.55  100.0
37.61  17.0
37.84  33.5
54.42  23.8
54.59  11.8
64.70  14.3
65.02  28.3
68.19  12.4

Entry 8:
This entry pairs a crystal structure of Nd2Sm3Sn4 with its computed PXRD pattern. Radiation: CuKα. Structure: the PBE geometry in Alexandria.
Kinematic intensities with the Lorentz-polarization factor, no thermal factor.

Cell and atoms:
a = 8.476 Å, b = 8.479 Å, c = 8.143 Å
α = 90.00°, β = 110.44°, γ = 90.00°
Sites, in units of the cell vectors:
Nd 0.194 0.180 0.065
Nd 0.194 0.320 0.565
Nd 0.806 0.680 0.435
Nd 0.806 0.820 0.935
Sm 0.246 0.670 0.239
Sm 0.246 0.830 0.739
Sm 0.500 0.000 0.500
Sm 0.500 0.500 0.000
Sm 0.754 0.170 0.261
Sm 0.754 0.330 0.761
Sn 0.082 0.537 0.838
Sn 0.082 0.963 0.338
Sn 0.486 0.134 0.866
Sn 0.486 0.366 0.366
Sn 0.514 0.634 0.634
Sn 0.514 0.866 0.134
Sn 0.918 0.037 0.662
Sn 0.918 0.463 0.162

Largest 10 diffraction maxima, by angle, 10° ≤ 2θ ≤ 80°:
2θ/deg  I (rel.)
28.23  62.1
30.06  79.3
30.62  66.4
30.85  43.4
31.18  78.0
33.83  100.0
34.35  17.7
34.72  63.5
46.98  15.9
51.64  21.5

Entry 9:
This entry pairs a crystal structure of SrNd4Sm3Te8 with its computed PXRD pattern. Radiation: CuKα. Structure: the PBE geometry in Alexandria.
Kinematic intensities with the Lorentz-polarization factor, no thermal factor.

Cell and atoms:
a = 9.014 Å, b = 9.014 Å, c = 9.014 Å
α = 59.85°, β = 59.85°, γ = 59.85°
Sites, in units of the cell vectors:
Sr 0.000 0.000 0.000
Nd 0.000 0.000 0.500
Nd 0.000 0.500 0.000
Nd 0.500 0.000 0.000
Nd 0.500 0.500 0.500
Sm 0.000 0.500 0.500
Sm 0.500 0.000 0.500
Sm 0.500 0.500 0.000
Te 0.251 0.251 0.251
Te 0.252 0.252 0.745
Te 0.252 0.745 0.252
Te 0.255 0.748 0.748
Te 0.745 0.252 0.252
Te 0.748 0.255 0.748
Te 0.748 0.748 0.255
Te 0.749 0.749 0.749

Largest 10 diffraction maxima, by angle, 10° ≤ 2θ ≤ 80°:
2θ/deg  I (rel.)
12.05  0.9
28.03  100.0
40.06  76.4
49.48  6.9
49.64  20.5
57.94  12.9
65.51  17.7
65.65  17.6
72.61  6.5
72.83  19.4

Entry 10:
This entry pairs a crystal structure of TbNd8Sm3 with its computed PXRD pattern. Radiation: CuKα. Structure: the PBE geometry in Alexandria.
Kinematic intensities with the Lorentz-polarization factor, no thermal factor.

Cell and atoms:
a = 8.823 Å, b = 8.823 Å, c = 8.823 Å
α = 135.57°, β = 99.56°, γ = 96.88°
Sites, in units of the cell vectors:
Tb 0.000 0.000 0.000
Nd 0.086 0.250 0.836
Nd 0.244 0.745 0.990
Nd 0.245 0.255 0.499
Nd 0.414 0.250 0.164
Nd 0.586 0.750 0.836
Nd 0.755 0.254 0.010
Nd 0.756 0.746 0.501
Nd 0.914 0.750 0.164
Sm 0.246 0.746 0.500
Sm 0.500 0.500 0.000
Sm 0.754 0.254 0.500

Largest 10 diffraction maxima, by angle, 10° ≤ 2θ ≤ 80°:
2θ/deg  I (rel.)
30.55  44.7
30.85  37.1
31.10  100.0
34.73  30.0
35.03  16.3
44.13  17.4
50.02  20.3
54.65  15.7
55.70  16.2
64.85  22.8

Entry 11:
This entry pairs a crystal structure of Tb7NdSm3 with its computed PXRD pattern. Radiation: CuKα. Structure: the PBE geometry in Alexandria.
Kinematic intensities with the Lorentz-polarization factor, no thermal factor.

Cell and atoms:
a = 6.999 Å, b = 5.582 Å, c = 10.032 Å
α = 90.00°, β = 110.10°, γ = 90.00°
Sites, in units of the cell vectors:
Tb 0.000 0.000 0.000
Tb 0.145 0.500 0.289
Tb 0.321 0.500 0.640
Tb 0.418 0.000 0.830
Tb 0.582 0.000 0.170
Tb 0.679 0.500 0.360
Tb 0.855 0.500 0.711
Nd 0.000 0.000 0.500
Sm 0.281 0.500 0.999
Sm 0.500 0.000 0.500
Sm 0.719 0.500 0.001

Largest 10 diffraction maxima, by angle, 10° ≤ 2θ ≤ 80°:
2θ/deg  I (rel.)
31.31  24.0
31.42  25.7
31.64  100.0
31.77  15.4
31.94  15.5
32.07  51.9
32.72  52.3
45.77  11.8
56.89  19.6
62.67  13.6

Entry 12:
This entry pairs a crystal structure of Tb4Nd4Sm3 with its computed PXRD pattern. Radiation: CuKα. Structure: the PBE geometry in Alexandria.
Kinematic intensities with the Lorentz-polarization factor, no thermal factor.

Cell and atoms:
a = 12.170 Å, b = 12.170 Å, c = 12.170 Å
α = 162.89°, β = 133.94°, γ = 49.49°
Sites, in units of the cell vectors:
Tb 0.183 0.000 0.183
Tb 0.240 0.240 0.000
Tb 0.760 0.760 0.000
Tb 0.817 0.000 0.817
Nd 0.177 0.855 0.323
Nd 0.468 0.145 0.323
Nd 0.532 0.855 0.677
Nd 0.823 0.145 0.677
Sm 0.108 0.608 0.500
Sm 0.500 0.500 0.000
Sm 0.892 0.392 0.500

Largest 10 diffraction maxima, by angle, 10° ≤ 2θ ≤ 80°:
2θ/deg  I (rel.)
30.67  86.6
30.98  100.0
31.29  52.3
32.40  29.3
37.81  20.4
38.59  21.4
42.46  26.5
56.76  23.4
57.13  29.0
60.15  33.1

Entry 13:
This entry pairs a crystal structure of Tb4Nd4Sm3 with its computed PXRD pattern. Radiation: CuKα. Structure: the PBE geometry in Alexandria.
Kinematic intensities with the Lorentz-polarization factor, no thermal factor.

Cell and atoms:
a = 10.776 Å, b = 6.716 Å, c = 6.716 Å
α = 50.82°, β = 90.00°, γ = 90.00°
Sites, in units of the cell vectors:
Tb 0.000 0.000 0.000
Tb 0.198 0.493 0.493
Tb 0.500 0.941 0.941
Tb 0.802 0.493 0.493
Nd 0.000 0.272 0.272
Nd 0.290 0.142 0.142
Nd 0.500 0.349 0.349
Nd 0.710 0.142 0.142
Sm 0.209 0.798 0.798
Sm 0.500 0.642 0.642
Sm 0.791 0.798 0.798

Largest 10 diffraction maxima, by angle, 10° ≤ 2θ ≤ 80°:
2θ/deg  I (rel.)
30.23  32.2
30.62  16.9
31.04  38.3
31.72  100.0
33.26  15.1
44.16  12.4
46.13  12.1
55.65  20.4
61.55  14.2
61.85  13.0